Record 1
Diffraction record for CeHf2Sc4. The powder XRD pattern is computed, not measured: it uses DFT lattice parameters and positions (PBE) and Cu Kα (weighted mean of Kα1 and Kα2).
Kinematic intensities with the Lorentz-polarization factor, no thermal factor.

Largest 10 diffraction maxima, sorted by position, 5° ≤ 2θ ≤ 70°:
d_spacing, two_theta, I_rel, (hkl)
9.120, 9.70, 39, 0 0 6
6.080, 14.57, 57, 0 0 9
4.560, 19.47, 24, 0 0 12
2.827, 31.65, 75, 1 0 1
2.606, 34.42, 45, 0 0 21
2.514, 35.71, 100, 1 0 10
2.460, 36.52, 96, 0 1 11
1.967, 46.14, 27, 0 1 20
1.634, 56.29, 33, 1 1 0
1.385, 67.67, 36, 1 1 21

Structure:
abc: 3.2687 3.2687 54.7200
angles: 90.00 90.00 120.00
Space group R-3m (No. 166, hexagonal axes)
One atom of each set of equivalent atoms:
Ce: 0.0000 0.0000 0.0000 (multiplicity 3)
Hf: 0.0000 0.0000 0.0962 (multiplicity 6)
Sc: 0.0000 0.0000 0.1915 (multiplicity 6)
Sc: 0.0000 0.0000 0.2829 (multiplicity 6)


Record 2
Diffraction record for Tb4GaSi. The powder XRD pattern is computed, not measured: it uses DFT lattice parameters and positions (PBE) and Cu Kα (weighted mean of Kα1 and Kα2).
Kinematic intensities with the Lorentz-polarization factor, no thermal factor.

Largest 10 diffraction maxima, sorted by position, 5° ≤ 2θ ≤ 70°:
d_spacing, two_theta, I_rel, (hkl)
10.478, 8.44, 45, 0 2 0
5.082, 17.45, 44, 1 1 0
3.473, 25.65, 39, 1 3 1
3.273, 27.25, 53, 1 5 0
2.973, 30.05, 68, 0 2 2
2.619, 34.23, 87, 2 0 0
2.599, 34.51, 100, 1 7 0
2.493, 36.03, 99, 1 3 2
1.966, 46.19, 42, 2 2 2
1.754, 52.13, 34, 1 9 2

Structure:
abc: 5.239 20.957 6.202
angles: 90.00 90.00 90.00
Space group Cmcm (No. 63)
One atom of each set of equivalent atoms:
Tb: 0.000 0.060 0.250 (multiplicity 4)
Tb: 0.000 0.204 0.005 (multiplicity 8)
Tb: 0.000 0.379 0.250 (multiplicity 4)
Ga: 0.000 0.075 0.750 (multiplicity 4)
Si: 0.000 0.337 0.750 (multiplicity 4)


Record 3
Diffraction record for RbThTe4. The powder XRD pattern is computed, not measured: it uses DFT lattice parameters and positions (PBE) and Cu Kα (weighted mean of Kα1 and Kα2).
Kinematic intensities with the Lorentz-polarization factor, no thermal factor.

Largest 10 diffraction maxima, sorted by position, 5° ≤ 2θ ≤ 70°:
d_spacing, two_theta, I_rel, (hkl)
9.267, 9.54, 98, 0 0 1
3.384, 26.34, 100, 1 1 2
2.969, 30.10, 94, 2 1 1
2.795, 32.03, 58, 2 0 2
2.596, 34.55, 24, 2 1 2
2.317, 38.87, 22, 0 0 4
2.216, 40.72, 54, 3 1 0
1.863, 48.89, 24, 2 1 4
1.639, 56.13, 25, 4 0 2
1.556, 59.41, 24, 3 3 2

Structure:
abc: 7.007 7.007 9.267
angles: 90.00 90.00 90.00
Space group P4/nbm (No. 125, origin choice 2)
One atom of each set of equivalent atoms:
Rb: 0.250 0.250 0.000 (multiplicity 2)
Th: 0.250 0.250 0.500 (multiplicity 2)
Te: 0.099 0.599 0.299 (multiplicity 8)


Record 4
Diffraction record for SrLi2InSn2. The powder XRD pattern is computed, not measured: it uses DFT lattice parameters and positions (PBE) and Cu Kα (weighted mean of Kα1 and Kα2).
Kinematic intensities with the Lorentz-polarization factor, no thermal factor.

Largest 10 diffraction maxima, sorted by position, 5° ≤ 2θ ≤ 70°:
d_spacing, two_theta, I_rel, (hkl)
4.082, 21.77, 67, 1 1 0
3.634, 24.49, 67, 1 1 1
3.096, 28.83, 36, 1 2 0
2.887, 30.98, 56, 1 2 1
2.854, 31.34, 100, 1 1 2
2.743, 32.64, 43, 0 3 0
2.532, 35.45, 53, 0 1 3
2.447, 36.73, 69, 1 2 2
2.350, 38.30, 57, 2 0 0
2.271, 39.68, 60, 1 3 1

Structure:
abc: 4.700 8.230 7.984
angles: 90.00 90.00 90.00
Space group Pmc2_1 (No. 26)
One atom of each set of equivalent atoms:
Sr: 0.000 0.144 0.000 (multiplicity 2)
Li: 0.000 0.265 0.410 (multiplicity 2)
Li: 0.500 0.493 0.421 (multiplicity 2)
In: 0.500 0.218 0.668 (multiplicity 2)
Sn: 0.000 0.464 0.691 (multiplicity 2)
Sn: 0.500 0.119 0.303 (multiplicity 2)


Record 5
Diffraction record for Tb3PmAl. The powder XRD pattern is computed, not measured: it uses DFT lattice parameters and positions (PBE) and Cu Kα (weighted mean of Kα1 and Kα2).
Kinematic intensities with the Lorentz-polarization factor, no thermal factor.

Largest 10 diffraction maxima, sorted by position, 5° ≤ 2θ ≤ 70°:
d_spacing, two_theta, I_rel, (hkl)
3.240, 27.53, 64, 2 0 0
3.167, 28.18, 46, 2 0 -4
3.110, 28.71, 29, 1 2 0
2.947, 30.33, 100, 2 1 0
2.892, 30.93, 87, 2 1 -4
2.785, 32.14, 75, 1 2 1
2.761, 32.42, 78, 1 2 -3
2.681, 33.42, 90, 0 0 4
2.492, 36.04, 31, 3 1 -3
1.921, 47.31, 23, 4 1 -4

Structure:
abc: 7.988 7.089 13.223
angles: 90.00 125.80 90.00
Space group P2_1/c (No. 14)
One atom of each set of equivalent atoms:
Tb: 0.016 0.103 0.373 (multiplicity 4)
Tb: 0.382 0.720 0.607 (multiplicity 4)
Tb: 0.427 0.670 0.882 (multiplicity 4)
Pm: 0.118 0.143 0.141 (multiplicity 4)
Al: 0.265 0.059 0.899 (multiplicity 4)


Record 6
Diffraction record for La3CeNd12. The powder XRD pattern is computed, not measured: it uses DFT lattice parameters and positions (PBE) and Cu Kα (weighted mean of Kα1 and Kα2).
Kinematic intensities with the Lorentz-polarization factor, no thermal factor.

Largest 5 diffraction maxima, sorted by position, 5° ≤ 2θ ≤ 70°:
d_spacing, two_theta, I_rel, (hkl)
3.007, 29.71, 100, 1 1 4
2.605, 34.43, 51, 2 0 0
1.842, 49.49, 36, 2 2 0
1.571, 58.79, 43, 3 1 4
1.504, 61.68, 12, 2 2 8

Structure:
abc: 5.211 5.211 20.820
angles: 90.00 90.00 90.00
Space group P4/mmm (No. 123)
One atom of each set of equivalent atoms:
La: 0.000 0.000 0.000 (multiplicity 1)
La: 0.000 0.000 0.252 (multiplicity 2)
Ce: 0.000 0.000 0.500 (multiplicity 1)
Nd: 0.000 0.500 0.126 (multiplicity 4)
Nd: 0.000 0.500 0.379 (multiplicity 4)
Nd: 0.500 0.500 0.000 (multiplicity 1)
Nd: 0.500 0.500 0.251 (multiplicity 2)
Nd: 0.500 0.500 0.500 (multiplicity 1)


Record 7
Diffraction record for CePmAs. The powder XRD pattern is computed, not measured: it uses DFT lattice parameters and positions (PBE) and Cu Kα (weighted mean of Kα1 and Kα2).
Kinematic intensities with the Lorentz-polarization factor, no thermal factor.

Largest 10 diffraction maxima, sorted by position, 5° ≤ 2θ ≤ 70°:
d_spacing, two_theta, I_rel, (hkl)
3.013, 29.65, 27, 1 0 2
2.887, 30.98, 40, 0 0 3
2.806, 31.89, 100, 1 1 1
2.447, 36.73, 61, 1 1 2
2.378, 37.83, 21, 1 0 3
2.098, 43.13, 46, 2 0 0
1.749, 52.32, 20, 1 1 4
1.697, 54.04, 33, 2 0 3
1.573, 58.69, 12, 2 1 3
1.483, 62.64, 15, 2 2 0

Structure:
abc: 4.195 4.195 8.660
angles: 90.00 90.00 90.00
Space group P4/nmm (No. 129, origin choice 2)
One atom of each set of equivalent atoms:
Ce: 0.250 0.750 0.000 (multiplicity 2)
Pm: 0.250 0.250 0.363 (multiplicity 2)
As: 0.250 0.250 0.721 (multiplicity 2)


Record 8
Diffraction record for Tl5SnF9. The powder XRD pattern is computed, not measured: it uses DFT lattice parameters and positions (PBE) and Cu Kα (weighted mean of Kα1 and Kα2).
Kinematic intensities with the Lorentz-polarization factor, no thermal factor.

Largest 10 diffraction maxima, sorted by position, 5° ≤ 2θ ≤ 70°:
d_spacing, two_theta, I_rel, (hkl)
3.456, 25.78, 43, 0 0 2
3.345, 26.65, 80, 2 1 1
3.324, 26.82, 100, 0 3 1
3.304, 26.99, 47, 2 2 0
2.571, 34.89, 24, 2 3 1
2.564, 35.00, 15, 2 1 2
2.388, 37.67, 38, 2 2 2
2.328, 38.67, 15, 2 4 0
1.907, 47.69, 21, 2 5 1
1.732, 52.86, 25, 4 3 1

Structure:
abc: 8.116 11.371 6.913
angles: 90.00 90.00 90.00
Space group Pmc2_1 (No. 26)
One atom of each set of equivalent atoms:
Tl: 0.000 0.237 0.000 (multiplicity 2)
Tl: 0.225 0.084 0.515 (multiplicity 4)
Tl: 0.227 0.423 0.598 (multiplicity 4)
Sn: 0.500 0.251 0.061 (multiplicity 2)
F: 0.000 0.015 0.254 (multiplicity 2)
F: 0.000 0.250 0.598 (multiplicity 2)
F: 0.000 0.466 0.893 (multiplicity 2)
F: 0.320 0.303 0.241 (multiplicity 4)
F: 0.324 0.198 0.873 (multiplicity 4)
F: 0.500 0.092 0.185 (multiplicity 2)
F: 0.500 0.410 0.935 (multiplicity 2)